Entry 1:
Structure and computed PXRD pattern of Na3Li2Sb4 (a crystal structure in Alexandria, relaxed with PBE; Cu Ka).
No peak broadening, texture or thermal motion is included.

Main lines, by angle (10° ≤ 2θ ≤ 80°):
| 2θ (°) | d [Å] | I/Imax |
| --- | --- | --- |
| 17.98 | 4.934 | 338 |
| 18.10 | 4.901 | 768 |
| 18.38 | 4.826 | 829 |
| 23.85 | 3.731 | 1000 |
| 25.46 | 3.499 | 531 |
| 27.52 | 3.241 | 356 |
| 31.55 | 2.836 | 639 |
| 35.95 | 2.498 | 493 |
| 37.55 | 2.395 | 284 |
| 38.01 | 2.367 | 266 |
| 40.19 | 2.244 | 279 |
| 41.53 | 2.174 | 351 |

```
data_Na3Li2Sb4
_chemical_formula_sum 'Na6 Li4 Sb8'
_cell_length_a 9.8945
_cell_length_b 9.8945
_cell_length_c 5.9552
_cell_angle_alpha 92.25
_cell_angle_beta 92.25
_cell_angle_gamma 59.38
_symmetry_space_group_name_H-M 'P 1'
_symmetry_Int_Tables_number 1
loop_
_symmetry_equiv_pos_as_xyz
'x,y,z'
loop_
_atom_site_label
_atom_site_fract_x
_atom_site_fract_y
_atom_site_fract_z
_atom_site_occupancy
Na1 0.0579 0.9421 0.7500 1
Na2 0.2988 0.4926 0.6111 1
Na3 0.4926 0.2988 0.1111 1
Na4 0.5074 0.7012 0.8889 1
Na5 0.7012 0.5074 0.3889 1
Na6 0.9421 0.0579 0.2500 1
Li1 0.0774 0.3454 0.1299 1
Li2 0.3454 0.0774 0.6299 1
Li3 0.6546 0.9226 0.3701 1
Li4 0.9226 0.6546 0.8701 1
Sb1 0.0484 0.3559 0.6345 1
Sb2 0.1989 0.6566 0.1122 1
Sb3 0.3434 0.8011 0.3878 1
Sb4 0.3559 0.0484 0.1345 1
Sb5 0.6441 0.9516 0.8655 1
Sb6 0.6566 0.1989 0.6122 1
Sb7 0.8011 0.3434 0.8878 1
Sb8 0.9516 0.6441 0.3655 1
```

=====

Entry 2:
Structure and computed PXRD pattern of NaLiSbSe2 (a crystal structure in Alexandria, relaxed with PBE; Cu Ka).
No peak broadening, texture or thermal motion is included.

Main lines, by angle (10° ≤ 2θ ≤ 80°):
| 2θ (°) | d [Å] | I/Imax |
| --- | --- | --- |
| 11.97 | 7.393 | 585 |
| 22.11 | 4.021 | 1000 |
| 25.21 | 3.532 | 413 |
| 26.80 | 3.327 | 370 |
| 28.07 | 3.178 | 655 |
| 35.01 | 2.563 | 623 |
| 36.01 | 2.494 | 793 |
| 42.65 | 2.120 | 267 |
| 43.05 | 2.101 | 233 |
| 44.08 | 2.055 | 273 |
| 45.10 | 2.010 | 226 |
| 47.77 | 1.904 | 346 |

```
data_NaLiSbSe2
_chemical_formula_sum 'Na1 Li1 Sb1 Se2'
_cell_length_a 4.3277
_cell_length_b 4.0209
_cell_length_c 7.6144
_cell_angle_alpha 90.00
_cell_angle_beta 103.86
_cell_angle_gamma 90.00
_symmetry_space_group_name_H-M 'P 1'
_symmetry_Int_Tables_number 1
loop_
_symmetry_equiv_pos_as_xyz
'x,y,z'
loop_
_atom_site_label
_atom_site_fract_x
_atom_site_fract_y
_atom_site_fract_z
_atom_site_occupancy
Na1 0.0000 0.0000 0.0000 1
Li1 0.5000 0.0000 0.5000 1
Sb1 0.0000 0.5000 0.5000 1
Se1 0.3947 0.5000 0.2438 1
Se2 0.6053 0.5000 0.7562 1
```

=====

Entry 3:
Structure and computed PXRD pattern of NaLiSb2Te (a crystal structure in Alexandria, relaxed with PBE; Cu Ka).
No peak broadening, texture or thermal motion is included.

Main lines, by angle (10° ≤ 2θ ≤ 80°):
| 2θ (°) | d [Å] | I/Imax |
| --- | --- | --- |
| 16.21 | 5.468 | 73 |
| 17.55 | 5.053 | 136 |
| 23.98 | 3.711 | 104 |
| 29.87 | 2.991 | 1000 |
| 32.75 | 2.734 | 206 |
| 35.54 | 2.526 | 331 |
| 49.10 | 1.855 | 260 |
| 51.13 | 1.786 | 115 |
| 56.69 | 1.624 | 159 |
| 60.35 | 1.534 | 262 |
| 62.06 | 1.495 | 127 |
| 79.80 | 1.202 | 176 |

```
data_NaLiSb2Te
_chemical_formula_sum 'Na1 Li1 Sb2 Te1'
_cell_length_a 5.0526
_cell_length_b 5.0526
_cell_length_c 5.4683
_cell_angle_alpha 90.00
_cell_angle_beta 90.00
_cell_angle_gamma 90.00
_symmetry_space_group_name_H-M 'P 1'
_symmetry_Int_Tables_number 1
loop_
_symmetry_equiv_pos_as_xyz
'x,y,z'
loop_
_atom_site_label
_atom_site_fract_x
_atom_site_fract_y
_atom_site_fract_z
_atom_site_occupancy
Na1 0.0000 0.0000 0.0000 1
Li1 0.5000 0.5000 0.5000 1
Sb1 0.0000 0.5000 0.5000 1
Sb2 0.5000 0.0000 0.5000 1
Te1 0.5000 0.5000 0.0000 1
```

=====

Entry 4:
Structure and computed PXRD pattern of NaLi2Zn2Sb2 (a crystal structure in Alexandria, relaxed with PBE; Cu Ka).
No peak broadening, texture or thermal motion is included.

Main lines, by angle (10° ≤ 2θ ≤ 80°):
| 2θ (°) | d [Å] | I/Imax |
| --- | --- | --- |
| 20.47 | 4.340 | 499 |
| 23.09 | 3.852 | 192 |
| 23.85 | 3.731 | 166 |
| 26.67 | 3.342 | 1000 |
| 33.31 | 2.690 | 152 |
| 40.10 | 2.249 | 674 |
| 41.73 | 2.165 | 457 |
| 45.43 | 1.996 | 366 |
| 48.82 | 1.866 | 187 |
| 59.24 | 1.560 | 214 |
| 64.95 | 1.436 | 154 |
| 73.97 | 1.281 | 161 |

```
data_NaLi2Zn2Sb2
_chemical_formula_sum 'Na1 Li2 Zn2 Sb2'
_cell_length_a 9.0590
_cell_length_b 9.0590
_cell_length_c 9.0590
_cell_angle_alpha 28.74
_cell_angle_beta 28.74
_cell_angle_gamma 28.74
_symmetry_space_group_name_H-M 'P 1'
_symmetry_Int_Tables_number 1
loop_
_symmetry_equiv_pos_as_xyz
'x,y,z'
loop_
_atom_site_label
_atom_site_fract_x
_atom_site_fract_y
_atom_site_fract_z
_atom_site_occupancy
Na1 0.0000 0.0000 0.0000 1
Li1 0.1419 0.1419 0.1419 1
Li2 0.8581 0.8581 0.8581 1
Zn1 0.4485 0.4485 0.4485 1
Zn2 0.5515 0.5515 0.5515 1
Sb1 0.2526 0.2526 0.2526 1
Sb2 0.7474 0.7474 0.7474 1
```

=====

Entry 5:
Structure and computed PXRD pattern of NaLi3Si6 (a crystal structure in Alexandria, relaxed with PBE; Cu Ka).
No peak broadening, texture or thermal motion is included.

Main lines, by angle (10° ≤ 2θ ≤ 80°):
| 2θ (°) | d [Å] | I/Imax |
| --- | --- | --- |
| 17.15 | 5.169 | 755 |
| 26.41 | 3.375 | 534 |
| 29.13 | 3.066 | 848 |
| 34.64 | 2.589 | 393 |
| 34.81 | 2.577 | 340 |
| 35.20 | 2.550 | 688 |
| 35.49 | 2.529 | 861 |
| 38.25 | 2.353 | 501 |
| 39.27 | 2.294 | 316 |
| 47.84 | 1.901 | 1000 |
| 50.34 | 1.813 | 565 |
| 52.70 | 1.737 | 498 |

```
data_NaLi3Si6
_chemical_formula_sum 'Na4 Li12 Si24'
_cell_length_a 17.9677
_cell_length_b 3.8035
_cell_length_c 10.3083
_cell_angle_alpha 90.00
_cell_angle_beta 90.00
_cell_angle_gamma 90.00
_symmetry_space_group_name_H-M 'P 1'
_symmetry_Int_Tables_number 1
loop_
_symmetry_equiv_pos_as_xyz
'x,y,z'
loop_
_atom_site_label
_atom_site_fract_x
_atom_site_fract_y
_atom_site_fract_z
_atom_site_occupancy
Na1 0.0755 0.2500 0.2490 1
Na2 0.4245 0.7500 0.7490 1
Na3 0.5755 0.2500 0.2510 1
Na4 0.9245 0.7500 0.7510 1
Li1 0.0277 0.2500 0.5916 1
Li2 0.0683 0.7500 0.0150 1
Li3 0.1879 0.2500 0.9369 1
Li4 0.3121 0.7500 0.4369 1
Li5 0.4317 0.2500 0.5150 1
Li6 0.4723 0.7500 0.0916 1
Li7 0.5277 0.2500 0.9084 1
Li8 0.5683 0.7500 0.4850 1
Li9 0.6879 0.2500 0.5631 1
Li10 0.8121 0.7500 0.0631 1
Li11 0.9317 0.2500 0.9850 1
Li12 0.9723 0.7500 0.4084 1
Si1 0.0544 0.2500 0.8349 1
Si2 0.1172 0.7500 0.5039 1
Si3 0.1171 0.7500 0.7421 1
Si4 0.1958 0.2500 0.4766 1
Si5 0.2052 0.7500 0.1399 1
Si6 0.2488 0.2500 0.2580 1
Si7 0.2512 0.7500 0.7580 1
Si8 0.2948 0.2500 0.6399 1
Si9 0.3042 0.7500 0.9766 1
Si10 0.3828 0.2500 0.0039 1
Si11 0.3829 0.2500 0.2421 1
Si12 0.4456 0.7500 0.3349 1
Si13 0.5544 0.2500 0.6651 1
Si14 0.6171 0.7500 0.7579 1
Si15 0.6172 0.7500 0.9961 1
Si16 0.6958 0.2500 0.0234 1
Si17 0.7052 0.7500 0.3601 1
Si18 0.7488 0.2500 0.2420 1
Si19 0.7512 0.7500 0.7420 1
Si20 0.7948 0.2500 0.8601 1
Si21 0.8042 0.7500 0.5234 1
Si22 0.8829 0.2500 0.2579 1
Si23 0.8828 0.2500 0.4961 1
Si24 0.9456 0.7500 0.1651 1
```

=====

Entry 6:
Structure and computed PXRD pattern of NaLiSm2Tl4 (a crystal structure in Alexandria, relaxed with PBE; Cu Ka).
No peak broadening, texture or thermal motion is included.

Main lines, by angle (10° ≤ 2θ ≤ 80°):
| 2θ (°) | d [Å] | I/Imax |
| --- | --- | --- |
| 20.44 | 4.344 | 266 |
| 23.65 | 3.762 | 412 |
| 33.63 | 2.665 | 1000 |
| 33.74 | 2.656 | 986 |
| 39.70 | 2.270 | 115 |
| 41.53 | 2.175 | 98 |
| 48.38 | 1.881 | 363 |
| 54.46 | 1.685 | 91 |
| 60.19 | 1.537 | 571 |
| 60.43 | 1.532 | 185 |
| 70.71 | 1.332 | 118 |
| 70.97 | 1.328 | 115 |

```
data_NaLiSm2Tl4
_chemical_formula_sum 'Na1 Li1 Sm2 Tl4'
_cell_length_a 9.1918
_cell_length_b 9.1918
_cell_length_c 9.1918
_cell_angle_alpha 33.70
_cell_angle_beta 33.70
_cell_angle_gamma 33.70
_symmetry_space_group_name_H-M 'P 1'
_symmetry_Int_Tables_number 1
loop_
_symmetry_equiv_pos_as_xyz
'x,y,z'
loop_
_atom_site_label
_atom_site_fract_x
_atom_site_fract_y
_atom_site_fract_z
_atom_site_occupancy
Na1 0.0000 0.0000 0.0000 1
Li1 0.5000 0.5000 0.5000 1
Sm1 0.2499 0.2499 0.2499 1
Sm2 0.7501 0.7501 0.7501 1
Tl1 0.1262 0.1262 0.1262 1
Tl2 0.3771 0.3771 0.3771 1
Tl3 0.6229 0.6229 0.6229 1
Tl4 0.8738 0.8738 0.8738 1
```

=====

What did the third record say?
Structure and computed PXRD pattern of NaLiSb2Te (a crystal structure in Alexandria, relaxed with PBE; Cu Ka).
No peak broadening, texture or thermal motion is included.

Main lines, by angle (10° ≤ 2θ ≤ 80°):
| 2θ (°) | d [Å] | I/Imax |
| --- | --- | --- |
| 16.21 | 5.468 | 73 |
| 17.55 | 5.053 | 136 |
| 23.98 | 3.711 | 104 |
| 29.87 | 2.991 | 1000 |
| 32.75 | 2.734 | 206 |
| 35.54 | 2.526 | 331 |
| 49.10 | 1.855 | 260 |
| 51.13 | 1.786 | 115 |
| 56.69 | 1.624 | 159 |
| 60.35 | 1.534 | 262 |
| 62.06 | 1.495 | 127 |
| 79.80 | 1.202 | 176 |

```
data_NaLiSb2Te
_chemical_formula_sum 'Na1 Li1 Sb2 Te1'
_cell_length_a 5.0526
_cell_length_b 5.0526
_cell_length_c 5.4683
_cell_angle_alpha 90.00
_cell_angle_beta 90.00
_cell_angle_gamma 90.00
_symmetry_space_group_name_H-M 'P 1'
_symmetry_Int_Tables_number 1
loop_
_symmetry_equiv_pos_as_xyz
'x,y,z'
loop_
_atom_site_label
_atom_site_fract_x
_atom_site_fract_y
_atom_site_fract_z
_atom_site_occupancy
Na1 0.0000 0.0000 0.0000 1
Li1 0.5000 0.5000 0.5000 1
Sb1 0.0000 0.5000 0.5000 1
Sb2 0.5000 0.0000 0.5000 1
Te1 0.5000 0.5000 0.0000 1
```